For Li5GaSn3, a crystal structure in Alexandria, relaxed with PBE gives the calculated X-ray diffraction stick pattern in this record (copper Kα).
Lines closer than 0.1° are merged.

Atomic structure:
Cell lengths 13.379, 10.154, 9.349 Å; angles 90.00, 133.88, 90.00 degrees
Space group C2/m (No. 12)
Inequivalent atoms, fractional coordinates:
Li: 0.000 0.233 0.000 [4 per cell]
Li: 0.088 0.236 0.432 [8 per cell]
Li: 0.246 0.000 0.904 [4 per cell]
Li: 0.250 0.000 0.258 [4 per cell]
Ga: 0.238 0.500 0.419 [4 per cell]
Sn: 0.000 0.000 0.500 [2 per cell]
Sn: 0.000 0.500 0.000 [2 per cell]
Sn: 0.003 0.000 0.171 [4 per cell]
Sn: 0.014 0.500 0.676 [4 per cell]

Main lines, in order of falling intensity (2θ = 10–90°):
17.47°, rel. 100.0, (0 2 0); 35.32°, rel. 58.1, (0 4 0); 18.40°, rel. 39.1, (2 0 0); 35.54°, rel. 35.6, (5 1 -3); 25.48°, rel. 31.5, (2 2 0); 41.46°, rel. 23.5, (4 2 0); 30.00°, rel. 23.0, (3 1 -3); 43.62°, rel. 21.5, (1 3 -3)